# Rb3Bi2I9
Calculated X-ray diffraction stick pattern, Cu Kα X-rays. Input: DFT lattice parameters and positions (GGA-PBE).
Peak positions follow from Bragg's law for the DFT cell and can differ from measured ones.

Main lines, most intense first (5 to 70 degrees two-theta):
2θ (°)  d (Å)  intensity
24.48  3.636  100
29.04  3.075  99
14.40  6.150  69
29.64  3.014  66
36.61  2.454  65
14.71  6.023  56
43.98  2.059  54
31.75  2.818  48
41.98  2.152  43
24.75  3.598  42

Structural model:
Lattice parameters (Å, degrees): 15.024 8.450 25.725 90.00 122.95 90.00
Space group Pc (No. 7)
Asymmetric unit:
Rb (0.000, 0.223, 0.000) (multiplicity 2)
Rb (0.063, 0.277, 0.787) (multiplicity 2)
Rb (0.340, 0.224, 0.674) (multiplicity 2)
Rb (0.394, 0.274, 0.449) (multiplicity 2)
Rb (0.670, 0.225, 0.339) (multiplicity 2)
Rb (0.723, 0.277, 0.114) (multiplicity 2)
Bi (0.201, 0.250, 0.233) (multiplicity 2)
Bi (0.360, 0.236, 0.055) (multiplicity 2)
Bi (0.702, 0.264, 0.733) (multiplicity 2)
Bi (0.863, 0.250, 0.554) (multiplicity 2)
I (0.085, 0.060, 0.646) (multiplicity 2)
I (0.120, 0.168, 0.313) (multiplicity 2)
I (0.189, 0.437, 0.953) (multiplicity 2)
I (0.225, 0.052, 0.513) (multiplicity 2)
I (0.266, 0.350, 0.136) (multiplicity 2)
I (0.308, 0.456, 0.805) (multiplicity 2)
I (0.399, 0.058, 0.309) (multiplicity 2)
I (0.454, 0.164, 0.981) (multiplicity 2)
I (0.511, 0.443, 0.609) (multiplicity 2)
I (0.552, 0.057, 0.178) (multiplicity 2)
I (0.609, 0.337, 0.807) (multiplicity 2)
I (0.664, 0.441, 0.478) (multiplicity 2)
I (0.755, 0.045, 0.982) (multiplicity 2)
I (0.797, 0.149, 0.651) (multiplicity 2)
I (0.838, 0.448, 0.275) (multiplicity 2)
I (0.873, 0.063, 0.834) (multiplicity 2)
I (0.944, 0.332, 0.475) (multiplicity 2)
I (0.978, 0.441, 0.142) (multiplicity 2)

=====

# Ba8GeAs3I3
Calculated X-ray diffraction stick pattern, Cu Kα X-rays. Input: DFT lattice parameters and positions (GGA-PBE).
Peak positions follow from Bragg's law for the DFT cell and can differ from measured ones.

Main lines, most intense first (5 to 70 degrees two-theta):
2θ (°)  d (Å)  intensity
25.34  3.515  100
36.84  2.440  42
35.43  2.534  30
45.24  2.004  21
59.71  1.549  18
27.49  3.245  11
49.44  1.843  10
65.45  1.426  10
52.04  1.757  10
66.37  1.408  8

Structural model:
Lattice parameters (Å, degrees): 9.7592 9.7592 25.3238 90.00 90.00 120.00
Space group R-3m (No. 166, hexagonal axes)
Asymmetric unit:
Ba (0.0000, 0.0000, 0.2338) (multiplicity 6)
Ba (0.0047, 0.5024, 0.2332) (multiplicity 18)
Ge (0.0000, 0.0000, 0.5000) (multiplicity 3)
As (0.0000, 0.5000, 0.5000) (multiplicity 9)
I (0.0000, 0.5000, 0.0000) (multiplicity 9)

=====

# AsPRhAu2
Calculated X-ray diffraction stick pattern, Cu Kα X-rays. Input: DFT lattice parameters and positions (GGA-PBE).
Peak positions follow from Bragg's law for the DFT cell and can differ from measured ones.

Main lines, most intense first (5 to 70 degrees two-theta):
2θ (°)  d (Å)  intensity
44.49  2.036  100
32.45  2.759  90
31.63  2.829  48
29.60  3.018  42
10.90  8.116  37
26.11  3.413  33
54.49  1.684  29
41.09  2.196  27
48.39  1.881  25
39.87  2.261  23

Structural model:
Lattice parameters (Å, degrees): 3.018 3.762 8.116 90.00 90.00 90.00
Space group Pmm2 (No. 25)
Asymmetric unit:
As (0.000, 0.000, 0.000) (multiplicity 1)
P (0.000, 0.500, 0.663) (multiplicity 1)
Rh (0.500, 0.500, 0.880) (multiplicity 1)
Au (0.000, 0.000, 0.476) (multiplicity 1)
Au (0.000, 0.500, 0.228) (multiplicity 1)

=====

# AcMgAlCd6
Calculated X-ray diffraction stick pattern, Cu Kα X-rays. Input: DFT lattice parameters and positions (GGA-PBE).
Peak positions follow from Bragg's law for the DFT cell and can differ from measured ones.

Main lines, most intense first (5 to 70 degrees two-theta):
2θ (°)  d (Å)  intensity
29.59  3.019  100
30.38  2.943  64
36.29  2.475  48
33.89  2.645  43
11.40  7.765  28
32.22  2.778  25
41.53  2.174  23
33.11  2.706  23
41.63  2.169  22
37.19  2.418  22

Structural model:
Lattice parameters (Å, degrees): 7.619 9.902 12.515 90.00 90.00 90.00
Space group Imma (No. 74)
Asymmetric unit:
Ac (0.000, 0.250, 0.198) (multiplicity 4)
Mg (0.250, 0.250, 0.750) (multiplicity 4)
Al (0.000, 0.000, 0.000) (multiplicity 4)
Cd (0.000, 0.250, 0.508) (multiplicity 4)
Cd (0.000, 0.250, 0.920) (multiplicity 4)
Cd (0.192, 0.008, 0.374) (multiplicity 16)

=====

# Th2PaMnN5
Calculated X-ray diffraction stick pattern, Cu Kα X-rays. Input: DFT lattice parameters and positions (GGA-PBE).
Peak positions follow from Bragg's law for the DFT cell and can differ from measured ones.

Main lines, most intense first (5 to 70 degrees two-theta):
2θ (°)  d (Å)  intensity
31.23  2.864  100
34.13  2.627  79
24.53  3.629  52
30.96  2.888  51
43.87  2.064  47
30.30  2.950  39
43.39  2.086  33
54.25  1.691  28
61.80  1.501  23
55.24  1.663  22

Structural model:
Lattice parameters (Å, degrees): 6.595 6.595 5.777 90.00 90.00 90.00
Space group P4/mbm (No. 127)
Asymmetric unit:
Th (0.166, 0.334, 0.000) (multiplicity 4)
Pa (0.000, 0.000, 0.500) (multiplicity 2)
Mn (0.000, 0.500, 0.500) (multiplicity 2)
N (0.000, 0.000, 0.000) (multiplicity 2)
N (0.154, 0.654, 0.280) (multiplicity 8)

=====

# AcPrTl3
Calculated X-ray diffraction stick pattern, Cu Kα X-rays. Input: DFT lattice parameters and positions (GGA-PBE).
Peak positions follow from Bragg's law for the DFT cell and can differ from measured ones.

Main lines, most intense first (5 to 70 degrees two-theta):
2θ (°)  d (Å)  intensity
30.15  2.964  100
30.77  2.906  79
36.90  2.436  36
33.76  2.655  33
35.23  2.547  31
28.85  3.095  30
62.69  1.482  28
50.87  1.795  20
51.94  1.761  19
39.94  2.258  16

Structural model:
Lattice parameters (Å, degrees): 8.015 8.443 9.745 90.00 90.00 90.00
Space group Pnnm (No. 58)
Asymmetric unit:
Ac (0.191, 0.152, 0.000) (multiplicity 4)
Pr (0.185, 0.149, 0.500) (multiplicity 4)
Tl (0.000, 0.500, 0.230) (multiplicity 4)
Tl (0.127, 0.862, 0.249) (multiplicity 8)